No. 1
# Nd2MnNiO6
Computed X-ray powder pattern, Cu Ka. Input: a GGA+U-relaxed structure.

Main lines, by intensity (2θ from 15° to 90°):
32.6°, d = 2.750 Å, I 100; 58.5°, d = 1.577 Å, I 33; 32.9°, d = 2.722 Å, I 25; 46.5°, d = 1.951 Å, I 23; 32.0°, d = 2.799 Å, I 21; 46.9°, d = 1.938 Å, I 15; 22.8°, d = 3.903 Å, I 14; 25.6°, d = 3.486 Å, I 13

Crystal structure
Cell: 5.4442 5.5981 9.4684 Å, 90.00 125.06 90.00°
Positions (direct):
Nd  0.2368  0.0538  0.2494
Nd  0.2368  0.4462  0.7494
Nd  0.7632  0.5538  0.2506
Nd  0.7632  0.9462  0.7506
Mn  0.5000  0.0000  0.0000
Mn  0.5000  0.5000  0.5000
Ni  0.0000  0.0000  0.5000
Ni  0.0000  0.5000  0.0000
O  0.1711  0.1998  0.9558
O  0.1711  0.3002  0.4558
O  0.2552  0.7160  0.9535
O  0.2552  0.7840  0.4535
O  0.3429  0.0218  0.7577
O  0.3429  0.4782  0.2577
O  0.6571  0.5218  0.7423
O  0.6571  0.9782  0.2423
O  0.7448  0.2160  0.5465
O  0.7448  0.2840  0.0465
O  0.8289  0.6998  0.5442
O  0.8289  0.8002  0.0442

=====

No. 2
# NdMn2O5
Computed X-ray powder pattern, Cu Ka. Input: a GGA+U-relaxed structure.

Main lines, by intensity (2θ from 15° to 90°):
29.9°, d = 2.990 Å, I 100; 28.1°, d = 3.176 Å, I 74; 33.0°, d = 2.718 Å, I 38; 15.2°, d = 5.829 Å, I 31; 34.5°, d = 2.598 Å, I 26; 40.3°, d = 2.235 Å, I 25; 25.5°, d = 3.490 Å, I 23; 57.7°, d = 1.598 Å, I 21

Crystal structure
Cell: 7.5987 8.7317 5.8292 Å, 90.00 90.00 90.00°
Positions (direct):
Nd  0.1412  0.1719  0.0000
Nd  0.3588  0.6719  0.0000
Nd  0.6412  0.3281  0.0000
Nd  0.8588  0.8281  0.0000
Mn  0.0000  0.5000  0.2566
Mn  0.0000  0.5000  0.7434
Mn  0.0901  0.8505  0.5000
Mn  0.4099  0.3505  0.5000
Mn  0.5000  0.0000  0.2566
Mn  0.5000  0.0000  0.7434
Mn  0.5901  0.6495  0.5000
Mn  0.9099  0.1495  0.5000
O  0.0000  0.0000  0.2764
O  0.0000  0.0000  0.7236
O  0.0995  0.7068  0.2469
O  0.0995  0.7068  0.7531
O  0.1519  0.4355  0.5000
O  0.1581  0.4472  0.0000
O  0.3419  0.9472  0.0000
O  0.3481  0.9355  0.5000
O  0.4005  0.2068  0.2469
O  0.4005  0.2068  0.7531
O  0.5000  0.5000  0.2764
O  0.5000  0.5000  0.7236
O  0.5995  0.7932  0.2469
O  0.5995  0.7932  0.7531
O  0.6519  0.0645  0.5000
O  0.6581  0.0528  0.0000
O  0.8419  0.5528  0.0000
O  0.8481  0.5645  0.5000
O  0.9005  0.2932  0.2469
O  0.9005  0.2932  0.7531

=====

No. 3
# Nd5Mn8Pb3O24
Computed X-ray powder pattern, Cu Ka. Input: a GGA+U-relaxed structure.

Main lines, by intensity (2θ from 15° to 90°):
32.4°, d = 2.764 Å, I 100; 57.8°, d = 1.596 Å, I 39; 46.5°, d = 1.954 Å, I 31; 22.8°, d = 3.909 Å, I 23; 40.0°, d = 2.257 Å, I 23; 67.8°, d = 1.382 Å, I 18; 77.2°, d = 1.236 Å, I 17; 52.3°, d = 1.748 Å, I 12

Crystal structure
Cell: 7.8172 7.8172 7.8172 Å, 90.00 90.00 90.00°
Positions (direct):
Nd  0.0000  0.0000  0.0000
Nd  0.0000  0.0000  0.5000
Nd  0.0000  0.5000  0.0000
Nd  0.5000  0.0000  0.0000
Nd  0.5000  0.5000  0.5000
Mn  0.2497  0.2497  0.2497
Mn  0.2497  0.2497  0.7503
Mn  0.2497  0.7503  0.2497
Mn  0.2497  0.7503  0.7503
Mn  0.7503  0.2497  0.2497
Mn  0.7503  0.2497  0.7503
Mn  0.7503  0.7503  0.2497
Mn  0.7503  0.7503  0.7503
Pb  0.0000  0.5000  0.5000
Pb  0.5000  0.0000  0.5000
Pb  0.5000  0.5000  0.0000
O  0.0000  0.2418  0.2418
O  0.0000  0.2418  0.7582
O  0.0000  0.7582  0.2418
O  0.0000  0.7582  0.7582
O  0.2418  0.0000  0.2418
O  0.2418  0.0000  0.7582
O  0.2418  0.2418  0.0000
O  0.2418  0.7582  0.0000
O  0.2478  0.2478  0.5000
O  0.2478  0.5000  0.2478
O  0.2478  0.5000  0.7522
O  0.2478  0.7522  0.5000
O  0.5000  0.2478  0.2478
O  0.5000  0.2478  0.7522
O  0.5000  0.7522  0.2478
O  0.5000  0.7522  0.7522
O  0.7522  0.2478  0.5000
O  0.7522  0.5000  0.2478
O  0.7522  0.5000  0.7522
O  0.7522  0.7522  0.5000
O  0.7582  0.0000  0.2418
O  0.7582  0.0000  0.7582
O  0.7582  0.2418  0.0000
O  0.7582  0.7582  0.0000

=====

No. 4
# Nd2MnRhO6
Computed X-ray powder pattern, Cu Ka. Input: a GGA+U-relaxed structure.

Main lines, by intensity (2θ from 15° to 90°):
32.0°, d = 2.800 Å, I 100; 32.6°, d = 2.747 Å, I 93; 32.2°, d = 2.779 Å, I 51; 30.5°, d = 2.929 Å, I 40; 45.0°, d = 2.016 Å, I 38; 47.6°, d = 1.910 Å, I 26; 56.9°, d = 1.619 Å, I 23; 32.7°, d = 2.735 Å, I 22

Crystal structure
Cell: 5.5598 5.8590 9.3309 Å, 90.00 125.06 90.00°
Positions (direct):
Nd  0.2300  0.0680  0.2496
Nd  0.2300  0.4320  0.7496
Nd  0.7700  0.5680  0.2504
Nd  0.7700  0.9320  0.7504
Mn  0.5000  0.0000  0.0000
Mn  0.5000  0.5000  0.5000
Rh  0.0000  0.0000  0.5000
Rh  0.0000  0.5000  0.0000
O  0.1432  0.1998  0.9503
O  0.1432  0.3002  0.4503
O  0.2524  0.6996  0.9476
O  0.2524  0.8004  0.4476
O  0.3592  0.0333  0.7561
O  0.3592  0.4667  0.2561
O  0.6408  0.5333  0.7439
O  0.6408  0.9667  0.2439
O  0.7476  0.1996  0.5524
O  0.7476  0.3004  0.0524
O  0.8568  0.6998  0.5497
O  0.8568  0.8002  0.0497